This entry pairs a crystal structure of Tl3NiI2O8 with its theoretical X-ray powder pattern. Radiation: λ = 1.5418 Å (Cu Kα). Structure: a crystal structure in Alexandria, relaxed with PBE+U.
Kinematic intensities with the Lorentz-polarization factor, no thermal factor.

Structural model:
```
data_Tl3NiI2O8
_chemical_formula_sum 'Tl3 Ni1 I2 O8'
_cell_length_a 6.1295
_cell_length_b 6.1295
_cell_length_c 7.8194
_cell_angle_alpha 90.00
_cell_angle_beta 90.00
_cell_angle_gamma 120.00
_symmetry_space_group_name_H-M 'P -3 m 1'
_symmetry_Int_Tables_number 164
_symmetry_space_group_name_Hall '-P 3 2"'
loop_
_atom_site_label
_atom_site_type_symbol
_atom_site_fract_x
_atom_site_fract_y
_atom_site_fract_z
_atom_site_occupancy
Tl1 Tl 0.0000 0.0000 0.0000 1
Tl2 Tl 0.3333 0.6667 0.7813 1
Ni1 Ni 0.0000 0.0000 0.5000 1
I1 I 0.3333 0.6667 0.3279 1
O1 O 0.1514 0.3028 0.3254 1
O2 O 0.3333 0.6667 0.0928 1
```

Top 8 peaks for 2θ from 10° to 90°, low angle first:
(1 0 1), 4.392 Å, 20.2°, I 15
(1 0 2), 3.148 Å, 28.4°, I 86
(1 1 0), 3.065 Å, 29.1°, I 100
(0 2 2), 2.196 Å, 41.1°, I 32
(2 1 2), 1.785 Å, 51.2°, I 37
(3 0 0), 1.769 Å, 51.7°, I 20
(2 2 0), 1.532 Å, 60.4°, I 16
(1 3 2), 1.378 Å, 68.0°, I 15